For Tb5Ho3In, a crystal structure in Alexandria, relaxed with GGA-PBE gives the computed powder X-ray diffraction pattern in this record (a wavelength of 1.5418 Å).

Atomic structure:
```
data_Tb5Ho3In
_chemical_formula_sum 'Tb10 Ho6 In2'
_space_group_name_H-M_alt 'P 1'
_space_group_IT_number 1
_cell_length_a 7.809
_cell_length_b 7.809
_cell_length_c 11.349
_cell_angle_alpha 94.99
_cell_angle_beta 94.99
_cell_angle_gamma 60.15
loop_
_space_group_symop_operation_xyz
'x,y,z'
loop_
_atom_site_label
_atom_site_type_symbol
_atom_site_fract_x
_atom_site_fract_y
_atom_site_fract_z
_atom_site_occupancy
Tb1 Tb 0.005 0.005 0.369 1
Tb2 Tb 0.160 0.585 0.241 1
Tb3 Tb 0.168 0.832 0.000 1
Tb4 Tb 0.261 0.261 0.965 1
Tb5 Tb 0.415 0.840 0.759 1
Tb6 Tb 0.585 0.160 0.241 1
Tb7 Tb 0.739 0.739 0.035 1
Tb8 Tb 0.832 0.168 0.000 1
Tb9 Tb 0.840 0.415 0.759 1
Tb10 Tb 0.995 0.995 0.631 1
Ho1 Ho 0.165 0.165 0.214 1
Ho2 Ho 0.238 0.238 0.525 1
Ho3 Ho 0.500 0.500 0.000 1
Ho4 Ho 0.500 0.500 0.500 1
Ho5 Ho 0.762 0.762 0.475 1
Ho6 Ho 0.835 0.835 0.786 1
In1 In 0.403 0.403 0.743 1
In2 In 0.597 0.597 0.257 1
```

Top 6 peaks for 5 to 70 degrees two-theta, in order of rising 2θ:
2theta  Rel. int.
27.72  55
27.92  100
29.53  72
31.59  58
31.70  56
32.33  89